# MgV3P3O13
Calculated X-ray diffraction stick pattern, Cu Ka. Input: a PBE+U-relaxed structure.
Intensities are scaled so that the largest is 100.

```
MgV3P3O13
1.0
7.499 0.000 0.000
0.000 6.324 0.000
-1.879 0.000 10.614
Mg V P O
2 6 6 26
Direct
0.116 0.250 0.139
0.884 0.750 0.861
0.134 0.250 0.800
0.274 0.750 0.449
0.500 0.000 0.000
0.500 0.500 0.000
0.726 0.250 0.551
0.866 0.750 0.200
0.194 0.750 0.125
0.223 0.750 0.771
0.279 0.250 0.521
0.721 0.750 0.479
0.777 0.250 0.229
0.806 0.250 0.875
0.000 0.250 0.958
0.000 0.750 0.042
0.098 0.564 0.800
0.098 0.936 0.800
0.152 0.750 0.260
0.161 0.250 0.624
0.231 0.055 0.435
0.231 0.445 0.435
0.273 0.750 0.642
0.289 0.539 0.102
0.289 0.961 0.102
0.374 0.250 0.912
0.396 0.750 0.876
0.482 0.250 0.583
0.518 0.750 0.417
0.604 0.250 0.124
0.626 0.750 0.088
0.711 0.039 0.898
0.711 0.461 0.898
0.727 0.250 0.358
0.769 0.555 0.565
0.769 0.945 0.565
0.839 0.750 0.376
0.848 0.250 0.740
0.902 0.064 0.200
0.902 0.436 0.200
```

Peak list (10 most intense, 5 to 70 degrees two-theta, by angle)
8.33 deg, intensity 65, (0 0 1); 18.81 deg, intensity 100, (1 0 -2); 22.27 deg, intensity 67, (1 0 2); 24.10 deg, intensity 88, (2 0 0); 26.91 deg, intensity 70, (2 0 1); 28.22 deg, intensity 93, (0 2 0); 29.84 deg, intensity 86, (1 0 3); 31.83 deg, intensity 69, (2 0 -3); 32.49 deg, intensity 75, (1 2 1); 38.17 deg, intensity 53, (0 2 3)